Record 1
The following is a theoretical powder X-ray diffraction pattern of Er3Al4. It was derived from the PBE geometry in Alexandria, using Cu Ka.
Intensities are scaled so that the largest is 100.

Cell: 3.523 4.508 19.573 Å, 90.00 90.00 90.00°
Space group Immm (No. 71)
Asymmetric unit:
Er: 0.000 0.000 0.000 x2
Er: 0.000 0.500 0.197 x4
Al: 0.000 0.000 0.433 x4
Al: 0.000 0.500 0.360 x4

Largest 10 diffraction maxima, in order of falling intensity, 10° ≤ 2θ ≤ 90°:
d (Å), intensity
2.670, 100
3.709, 75
2.619, 62
2.376, 42
1.708, 35
2.254, 25
1.835, 21
4.893, 17
1.415, 16
3.262, 16



Record 2
The following is a theoretical powder X-ray diffraction pattern of Er2Al7. It was derived from the PBE geometry in Alexandria, using Cu Ka.
Intensities are scaled so that the largest is 100.

Cell: 5.4822 5.4822 39.9355 Å, 90.00 90.00 120.00°
Space group R-3m (No. 166, hexagonal axes)
Asymmetric unit:
Er: 0.0000 0.0000 0.0542 x6
Er: 0.0000 0.0000 0.1500 x6
Al: 0.0000 0.0000 0.2784 x6
Al: 0.0000 0.0000 0.3890 x6
Al: 0.0000 0.0000 0.5000 x3
Al: 0.0000 0.5000 0.0000 x9
Al: 0.0044 0.5022 0.8888 x18

Largest 10 diffraction maxima, in order of falling intensity, 10° ≤ 2θ ≤ 90°:
d (Å), intensity
2.332, 100
3.056, 78
2.741, 73
4.715, 69
2.884, 40
2.370, 38
4.437, 27
1.637, 26
1.491, 25
1.371, 18



Record 3
The following is a theoretical powder X-ray diffraction pattern of ErAl10Fe2. It was derived from the PBE geometry in Alexandria, using Cu Ka.
Intensities are scaled so that the largest is 100.

Cell: 8.922 10.108 8.955 Å, 90.00 90.00 90.00°
Space group Cmcm (No. 63)
Asymmetric unit:
Er: 0.000 0.126 0.250 x4
Al: 0.000 0.157 0.597 x8
Al: 0.000 0.375 0.049 x8
Al: 0.151 0.371 0.750 x8
Al: 0.225 0.360 0.250 x8
Al: 0.227 0.000 0.000 x8
Fe: 0.250 0.250 0.000 x8

Largest 10 diffraction maxima, in order of falling intensity, 10° ≤ 2θ ≤ 90°:
d (Å), intensity
2.228, 100
2.200, 86
5.359, 44
3.159, 43
3.133, 39
6.689, 36
2.406, 36
2.570, 32
2.722, 32
2.239, 29



Record 4
The following is a theoretical powder X-ray diffraction pattern of Er2Al3Fe14. It was derived from the PBE geometry in Alexandria, using Cu Ka.
Intensities are scaled so that the largest is 100.

Cell: 8.5000 8.5000 8.2010 Å, 90.00 90.00 120.00°
Space group P6_3/mmc (No. 194)
Asymmetric unit:
Er: 0.0000 0.0000 0.2500 x2
Er: 0.3333 0.6667 0.2500 x2
Al: 0.0000 0.5000 0.0000 x6
Fe: 0.0291 0.3505 0.7500 x12
Fe: 0.1655 0.3309 0.0150 x12
Fe: 0.3333 0.6667 0.6114 x4

Largest 10 diffraction maxima, in order of falling intensity, 10° ≤ 2θ ≤ 90°:
d (Å), intensity
2.106, 100
2.454, 52
2.125, 44
2.951, 34
2.195, 27
2.050, 24
1.339, 19
1.194, 17
1.227, 17
1.950, 13